Pm6AlRu: calculated powder X-ray diffraction pattern (copper Kα), based on a structure optimized by DFT (PBE).

Crystal structure
a b c (Å): 6.5049 6.5049 6.6478
angles (deg): 98.19 98.19 107.12
Positions (direct):
Pm 0.0288 0.6711 0.7179
Pm 0.2868 0.2868 0.8370
Pm 0.3289 0.9712 0.2821
Pm 0.6711 0.0288 0.7179
Pm 0.7132 0.7132 0.1630
Pm 0.9712 0.3289 0.2821
Al 0.5000 0.5000 0.5000
Ru 0.0000 0.0000 0.0000

Main lines, most intense first (2θ = 10–90°):
2theta, Rel. int.
32.77, 100
24.42, 58
30.18, 48
36.33, 47
21.87, 39
30.30, 39
44.58, 38
27.64, 31
28.67, 25
46.69, 25

=====

Li3Ac2In6: calculated powder X-ray diffraction pattern (copper Kα), based on a structure optimized by DFT (PBE).

Crystal structure
a b c (Å): 8.5937 8.5937 4.5141
angles (deg): 90.00 90.00 120.00
Positions (direct):
Li 0.0000 0.6301 0.0000
Li 0.3699 0.3699 0.0000
Li 0.6301 0.0000 0.0000
Ac 0.3333 0.6667 0.5000
Ac 0.6667 0.3333 0.5000
In 0.0000 0.3099 0.0000
In 0.0000 0.7988 0.5000
In 0.2012 0.2012 0.5000
In 0.3099 0.0000 0.0000
In 0.6901 0.6901 0.0000
In 0.7988 0.0000 0.5000

Main lines, most intense first (2θ = 10–90°):
2theta, Rel. int.
28.68, 100
37.68, 42
60.59, 30
31.81, 26
36.21, 25
23.91, 17
39.94, 17
55.00, 15
20.67, 14
19.67, 13